No. 1
Simulated powder diffractogram
Compound: ScInTc2Ru
Radiation: Cu Kα
Structure: a structure optimized by DFT (PBE)
No peak broadening, texture or thermal motion is included.

Atomic structure:
abc: 4.8633 4.8633 4.8110
angles: 90.00 90.00 90.00
Fractional coordinates of all 5 atoms:
Sc1 0.0000 0.0000 0.0000
In1 0.5000 0.5000 0.5000
Tc1 0.0000 0.5000 0.5000
Tc2 0.5000 0.0000 0.5000
Ru1 0.5000 0.5000 0.0000

Peak list (6 most intense, 2θ from 10° to 90°, by angle)
18.2 deg, rel. 83.4
32.0 deg, rel. 74.3
37.0 deg, rel. 100.0
37.4 deg, rel. 48.4
41.6 deg, rel. 39.8
53.6 deg, rel. 66.4

---

No. 2
Simulated powder diffractogram
Compound: Ac5Ce3Sb8
Radiation: Cu Kα
Structure: a structure optimized by DFT (PBE)
No peak broadening, texture or thermal motion is included.

Atomic structure:
abc: 9.3899 9.3899 9.3899
angles: 60.01 60.01 60.01
Fractional coordinates of all 16 atoms:
Ac1 0.0000 0.0000 0.0000
Ac2 0.0000 0.5000 0.5000
Ac3 0.5000 0.0000 0.5000
Ac4 0.5000 0.5000 0.0000
Ac5 0.5000 0.5000 0.5000
Ce1 0.0000 0.0000 0.5000
Ce2 0.0000 0.5000 0.0000
Ce3 0.5000 0.0000 0.0000
Sb1 0.2379 0.7500 0.7500
Sb2 0.2443 0.2443 0.2443
Sb3 0.2500 0.2500 0.7621
Sb4 0.2500 0.7621 0.2500
Sb5 0.7500 0.2379 0.7500
Sb6 0.7500 0.7500 0.2379
Sb7 0.7557 0.7557 0.7557
Sb8 0.7621 0.2500 0.2500

Peak list (6 most intense, 2θ from 10° to 90°, by angle)
26.9 deg, rel. 100.0
38.3 deg, rel. 77.9
47.4 deg, rel. 28.2
62.6 deg, rel. 36.6
69.3 deg, rel. 26.8
88.3 deg, rel. 18.0

---

No. 3
Simulated powder diffractogram
Compound: Pr7Ho12Tl
Radiation: Cu Kα
Structure: a structure optimized by DFT (PBE)
No peak broadening, texture or thermal motion is included.

Atomic structure:
abc: 8.7510 8.7819 8.7987
angles: 89.13 89.61 89.03
Fractional coordinates of all 20 atoms:
Pr1 0.0000 0.0000 0.0000
Pr2 0.1223 0.7153 0.2735
Pr3 0.2682 0.1196 0.7135
Pr4 0.2859 0.7320 0.8776
Pr5 0.7141 0.2680 0.1224
Pr6 0.7318 0.8804 0.2865
Pr7 0.8777 0.2847 0.7265
Ho1 0.0413 0.1599 0.3761
Ho2 0.1599 0.3793 0.0371
Ho3 0.1660 0.4941 0.6140
Ho4 0.3791 0.0378 0.1584
Ho5 0.3924 0.8342 0.5053
Ho6 0.4954 0.6104 0.1660
Ho7 0.5046 0.3896 0.8340
Ho8 0.6076 0.1658 0.4947
Ho9 0.6209 0.9622 0.8416
Ho10 0.8340 0.5059 0.3860
Ho11 0.8401 0.6207 0.9629
Ho12 0.9587 0.8401 0.6239
Tl1 0.5000 0.5000 0.5000

Peak list (6 most intense, 2θ from 10° to 90°, by angle)
30.2 deg, rel. 49.9
30.7 deg, rel. 100.0
30.8 deg, rel. 93.3
32.1 deg, rel. 92.1
32.2 deg, rel. 68.9
32.4 deg, rel. 54.8

---

No. 4
Simulated powder diffractogram
Compound: Cs2HgBiBr6
Radiation: Cu Kα
Structure: a structure optimized by DFT (PBE)
No peak broadening, texture or thermal motion is included.

Atomic structure:
abc: 8.3057 8.3057 8.3057
angles: 60.00 60.00 60.00
Fractional coordinates of all 10 atoms:
Cs1 0.2500 0.2500 0.2500
Cs2 0.7500 0.7500 0.7500
Hg1 0.0000 0.0000 0.0000
Bi1 0.5000 0.5000 0.5000
Br1 0.2546 0.2546 0.7454
Br2 0.2546 0.7454 0.2546
Br3 0.2546 0.7454 0.7454
Br4 0.7454 0.2546 0.2546
Br5 0.7454 0.2546 0.7454
Br6 0.7454 0.7454 0.2546

Peak list (6 most intense, 2θ from 10° to 90°, by angle)
15.1 deg, rel. 36.9
21.4 deg, rel. 87.9
30.4 deg, rel. 100.0
37.5 deg, rel. 43.0
43.6 deg, rel. 74.1
71.9 deg, rel. 33.7

---

No. 5
Simulated powder diffractogram
Compound: CrFeAs2
Radiation: Cu Kα
Structure: a structure optimized by DFT (PBE)
No peak broadening, texture or thermal motion is included.

Atomic structure:
abc: 3.4704 5.4648 6.0700
angles: 90.00 90.00 90.00
Fractional coordinates of all 8 atoms:
Cr1 0.0000 0.2435 0.0000
Cr2 0.5000 0.7565 0.5000
Fe1 0.0000 0.7484 0.8924
Fe2 0.5000 0.2516 0.3924
As1 0.0000 0.0594 0.6173
As2 0.0000 0.5461 0.2812
As3 0.5000 0.4539 0.7812
As4 0.5000 0.9406 0.1173

Peak list (6 most intense, 2θ from 10° to 90°, by angle)
33.8 deg, rel. 51.4
34.0 deg, rel. 100.0
42.9 deg, rel. 41.4
44.6 deg, rel. 32.0
44.8 deg, rel. 77.5
52.3 deg, rel. 40.3

---

No. 6
Simulated powder diffractogram
Compound: GdTmCdNi
Radiation: Cu Kα
Structure: a structure optimized by DFT (PBE)
No peak broadening, texture or thermal motion is included.

Atomic structure:
abc: 7.1387 7.1387 7.1387
angles: 90.00 90.00 90.00
Fractional coordinates of all 16 atoms:
Gd1 0.0000 0.0000 0.0000
Gd2 0.0000 0.5000 0.5000
Gd3 0.5000 0.0000 0.5000
Gd4 0.5000 0.5000 0.0000
Tm1 0.0000 0.0000 0.5000
Tm2 0.0000 0.5000 0.0000
Tm3 0.5000 0.0000 0.0000
Tm4 0.5000 0.5000 0.5000
Cd1 0.2500 0.2500 0.7500
Cd2 0.2500 0.7500 0.2500
Cd3 0.7500 0.2500 0.2500
Cd4 0.7500 0.7500 0.7500
Ni1 0.2500 0.2500 0.2500
Ni2 0.2500 0.7500 0.7500
Ni3 0.7500 0.2500 0.7500
Ni4 0.7500 0.7500 0.2500

Peak list (6 most intense, 2θ from 10° to 90°, by angle)
24.9 deg, rel. 9.8
35.6 deg, rel. 100.0
51.2 deg, rel. 17.5
63.9 deg, rel. 35.5
75.3 deg, rel. 10.9
86.2 deg, rel. 15.7

---

No. 7
Simulated powder diffractogram
Compound: TbPr2Dy2Th2
Radiation: Cu Kα
Structure: a structure optimized by DFT (PBE)
No peak broadening, texture or thermal motion is included.

Atomic structure:
abc: 17.8447 3.4927 8.5740
angles: 90.00 117.72 90.00
Fractional coordinates of all 14 atoms:
Tb1 0.0000 0.0000 0.0000
Tb2 0.5000 0.5000 0.0000
Pr1 0.1434 0.5000 0.8694
Pr2 0.3566 0.0000 0.1306
Pr3 0.6434 0.0000 0.8694
Pr4 0.8566 0.5000 0.1306
Dy1 0.2102 0.0000 0.3007
Dy2 0.2898 0.5000 0.6993
Dy3 0.7102 0.5000 0.3007
Dy4 0.7898 0.0000 0.6993
Th1 0.0658 0.5000 0.4056
Th2 0.4342 0.0000 0.5944
Th3 0.5658 0.0000 0.4056
Th4 0.9342 0.5000 0.5944

Peak list (6 most intense, 2θ from 10° to 90°, by angle)
27.6 deg, rel. 89.4
30.3 deg, rel. 100.0
30.5 deg, rel. 94.5
31.9 deg, rel. 82.1
33.6 deg, rel. 88.4
35.8 deg, rel. 71.8

---

No. 8
Simulated powder diffractogram
Compound: Ba7Sb2AuO2
Radiation: Cu Kα
Structure: a structure optimized by DFT (PBE)
No peak broadening, texture or thermal motion is included.

Atomic structure:
abc: 15.3200 15.3200 15.3200
angles: 159.87 159.87 28.62
Fractional coordinates of all 12 atoms:
Ba1 0.0000 0.0000 0.0000
Ba2 0.0964 0.5964 0.5000
Ba3 0.2023 0.2023 0.0000
Ba4 0.4036 0.9036 0.5000
Ba5 0.5964 0.0964 0.5000
Ba6 0.7977 0.7977 0.0000
Ba7 0.9036 0.4036 0.5000
Sb1 0.3207 0.3207 0.0000
Sb2 0.6793 0.6793 0.0000
Au1 0.5000 0.5000 0.0000
O1 0.0942 0.0942 0.0000
O2 0.9058 0.9058 0.0000

Peak list (6 most intense, 2θ from 10° to 90°, by angle)
26.4 deg, rel. 69.8
29.7 deg, rel. 100.0
30.1 deg, rel. 32.4
33.5 deg, rel. 66.2
45.6 deg, rel. 40.6
57.5 deg, rel. 31.0